# CeGdCdSn
Computed X-ray powder pattern, CuKα. Input: a cell relaxed with GGA-PBE.
No peak broadening, texture or thermal motion is included.

Atomic structure:
```
data_CeGdCdSn
_cell_length_a 7.6250
_cell_length_b 7.6250
_cell_length_c 7.6250
_cell_angle_alpha 90.00
_cell_angle_beta 90.00
_cell_angle_gamma 90.00
_symmetry_space_group_name_H-M 'F -4 3 m'
_symmetry_Int_Tables_number 216
_symmetry_space_group_name_Hall 'F -4 2 3'
loop_
_atom_site_label
_atom_site_type_symbol
_atom_site_fract_x
_atom_site_fract_y
_atom_site_fract_z
Ce1 Ce 0.0000 0.0000 0.0000
Gd1 Gd 0.0000 0.0000 0.5000
Cd1 Cd 0.2500 0.2500 0.7500
Sn1 Sn 0.2500 0.2500 0.2500
```

Principal peaks in the range 10 to 80 degrees two-theta, by angle:
(2 0 0), 23.33 deg, intensity 1; (2 2 0), 33.23 deg, intensity 100; (4 0 0), 47.71 deg, intensity 18; (4 2 2), 59.38 deg, intensity 38; (4 4 0), 69.77 deg, intensity 12; (6 2 0), 79.50 deg, intensity 16